This entry pairs a crystal structure of KCaAsH16O12 with its calculated X-ray diffraction stick pattern. Radiation: Cu Kα (λ = 1.5418 Å). Structure: the PBE geometry in Alexandria.

Top 10 peaks for 2θ = 10–80°, in order of rising 2θ:
- 2θ 15.0, I = 27, (0 0 2)
- 2θ 19.1, I = 100, (1 1 1)
- 2θ 19.5, I = 38, (1 0 2)
- 2θ 24.8, I = 15, (0 2 0)
- 2θ 25.8, I = 27, (0 1 3)
- 2θ 29.2, I = 40, (2 0 2)
- 2θ 31.8, I = 32, (1 2 2)
- 2θ 36.2, I = 41, (2 1 3)
- 2θ 40.5, I = 28, (1 3 1)
- 2θ 41.6, I = 31, (1 2 4)

Crystal structure
```
data_KCaAsH16O12
_chemical_formula_sum 'K2 Ca2 As2 H32 O24'
_space_group_name_H-M_alt 'A m m 2'
_space_group_IT_number 38
_cell_length_a 7.1593
_cell_length_b 7.1744
_cell_length_c 11.8068
_cell_angle_alpha 90.00
_cell_angle_beta 90.00
_cell_angle_gamma 90.00
loop_
_space_group_symop_operation_xyz
'x,y,z'
'-x,-y,z'
'-x,y,z'
'x,-y,z'
'x,y+1/2,z+1/2'
'-x,-y+1/2,z+1/2'
'-x,y+1/2,z+1/2'
'x,-y+1/2,z+1/2'
loop_
_atom_site_label
_atom_site_type_symbol
_atom_site_fract_x
_atom_site_fract_y
_atom_site_fract_z
_atom_site_occupancy
K1 K 0.0000 0.0000 0.0000 1
Ca1 Ca 0.0000 0.0000 0.6909 1
As1 As 0.5000 0.0000 0.3141 1
H1 H 0.1108 0.1478 0.3393 1
H2 H 0.2713 0.1493 0.5162 1
H3 H 0.3254 0.2467 0.1319 1
H4 H 0.3576 0.1100 0.7944 1
O1 O 0.0000 0.2228 0.3176 1
O2 O 0.2183 0.2125 0.5840 1
O3 O 0.2797 0.0000 0.8134 1
O4 O 0.2991 0.0000 0.3957 1
O5 O 0.5000 0.2019 0.2336 1
```